Structure and simulated PXRD pattern of Na2TaInSi2SO12 (the GGA-PBE geometry in the Materials Project; Cu Kα (λ = 1.5418 Å)).

Main lines, sorted by position (2θ from 5° to 70°):
d/Å, Rel. int.
6.502, 36
4.615, 100
4.569, 37
4.512, 78
3.251, 33
3.197, 19
2.923, 60
2.893, 32
2.628, 45
1.813, 18

Crystal structure
abc: 9.026 9.026 9.258
angles: 119.46 119.46 60.83
Positions (direct):
Na 0.049 0.951 0.500
Na 0.323 0.829 0.235
Na 0.829 0.323 0.735
Na 0.951 0.049 0.000
Ta 0.466 0.965 0.689
Ta 0.965 0.466 0.189
In 0.158 0.676 0.804
In 0.676 0.158 0.304
Si 0.073 0.277 0.501
Si 0.277 0.073 0.001
Si 0.776 0.865 0.507
Si 0.865 0.776 0.007
S 0.361 0.574 0.502
S 0.574 0.361 0.002
O 0.038 0.314 0.323
O 0.049 0.745 0.992
O 0.088 0.253 0.023
O 0.122 0.436 0.676
O 0.195 0.546 0.344
O 0.246 0.903 0.987
O 0.253 0.088 0.523
O 0.314 0.038 0.823
O 0.342 0.602 0.662
O 0.365 0.746 0.513
O 0.430 0.525 0.978
O 0.436 0.122 0.176
O 0.525 0.430 0.478
O 0.546 0.195 0.844
O 0.596 0.878 0.527
O 0.602 0.342 0.162
O 0.678 0.831 0.838
O 0.745 0.049 0.492
O 0.746 0.365 0.013
O 0.831 0.678 0.338
O 0.857 0.949 0.182
O 0.878 0.596 0.027
O 0.903 0.246 0.487
O 0.949 0.857 0.682